Y3In2H: simulated powder XRD pattern (copper Kα), based on the PBE geometry in Alexandria.
Intensities are scaled so that the largest is 100.

Most intense lines, 2θ from 15° to 90°, in order of rising 2θ:
| 2theta | Rel. int. | (hkl) |
| --- | --- | --- |
| 26.06 | 29.4 | 3 1 -1 |
| 28.42 | 31.7 | 0 2 0 |
| 31.38 | 91.5 | 2 0 2 |
| 31.51 | 47.2 | 0 2 1 |
| 33.37 | 23.7 | 2 2 -1 |
| 34.08 | 100.0 | 3 1 -2 |
| 34.82 | 49.8 | 2 2 1 |
| 35.28 | 74.8 | 5 1 0 |
| 42.87 | 29.9 | 2 2 2 |
| 48.89 | 22.1 | 3 3 -1 |
| 56.79 | 23.3 | 1 1 -4 |
| 60.58 | 19.9 | 1 3 -3 |

Structural model:
```
data_Y3In2H
_space_group_name_H-M_alt 'C 1 2/c 1'
_space_group_IT_number 15
_cell_length_a 14.0485
_cell_length_b 6.2802
_cell_length_c 6.7127
_cell_angle_alpha 90.00
_cell_angle_beta 97.92
_cell_angle_gamma 90.00
loop_
_space_group_symop_operation_xyz
'x,y,z'
'-x,-y,-z'
'-x,y,-z+1/2'
'x,-y,z+1/2'
'x+1/2,y+1/2,z'
'-x+1/2,-y+1/2,-z'
'-x+1/2,y+1/2,-z+1/2'
'x+1/2,-y+1/2,z+1/2'
loop_
_atom_site_label
_atom_site_fract_x
_atom_site_fract_y
_atom_site_fract_z
Y1 0.0000 0.0880 0.2500
Y2 0.1236 0.4086 0.6372
In1 0.1834 0.0748 0.0387
H1 0.0000 0.4334 0.2500
```

Ce3Sc2Sb3: simulated powder XRD pattern (copper Kα), based on the PBE geometry in Alexandria.
Intensities are scaled so that the largest is 100.

Most intense lines, 2θ from 15° to 90°, in order of rising 2θ:
| 2theta | Rel. int. | (hkl) |
| --- | --- | --- |
| 19.84 | 17.4 | 1 1 0 |
| 28.81 | 30.1 | 0 0 2 |
| 30.52 | 15.8 | 2 1 0 |
| 33.85 | 100.0 | 2 1 1 |
| 34.73 | 17.3 | 3 0 0 |
| 35.23 | 31.2 | 1 1 2 |
| 44.62 | 12.2 | 3 1 1 |
| 53.63 | 9.1 | 3 2 1 |
| 54.33 | 27.9 | 2 1 3 |
| 59.66 | 12.4 | 0 0 4 |
| 64.23 | 8.6 | 3 3 1 |
| 67.58 | 12.0 | 5 0 2 |

Structural model:
```
data_Ce3Sc2Sb3
_space_group_name_H-M_alt 'P 63/m c m'
_space_group_IT_number 193
_space_group_name_Hall '-P 6c 2'
_cell_length_a 8.9485
_cell_length_b 8.9485
_cell_length_c 6.1987
_cell_angle_alpha 90.00
_cell_angle_beta 90.00
_cell_angle_gamma 120.00
loop_
_atom_site_label
_atom_site_fract_x
_atom_site_fract_y
_atom_site_fract_z
Ce1 0.0000 0.2428 0.2500
Sc1 0.3333 0.6667 0.0000
Sb1 0.0000 0.4001 0.7500
```

NiGe7Ir4: simulated powder XRD pattern (copper Kα), based on the PBE geometry in Alexandria.
Intensities are scaled so that the largest is 100.

Most intense lines, 2θ from 15° to 90°, in order of rising 2θ:
| 2theta | Rel. int. | (hkl) |
| --- | --- | --- |
| 24.44 | 100.0 | 2 0 2 |
| 26.69 | 81.8 | 2 0 -3 |
| 34.56 | 37.7 | 2 0 -4 |
| 36.87 | 57.8 | 3 1 -1 |
| 38.87 | 58.7 | 3 1 -2 |
| 38.99 | 96.4 | 3 1 1 |
| 42.72 | 64.4 | 3 1 -3 |
| 42.90 | 44.0 | 3 1 2 |
| 43.64 | 65.2 | 0 0 5 |
| 45.92 | 48.9 | 6 0 1 |
| 48.05 | 53.8 | 3 1 -4 |
| 49.86 | 43.6 | 6 0 -4 |

Structural model:
```
data_NiGe7Ir4
_space_group_name_H-M_alt 'C 1 m 1'
_space_group_IT_number 8
_cell_length_a 12.8675
_cell_length_b 2.9938
_cell_length_c 10.6062
_cell_angle_alpha 90.00
_cell_angle_beta 102.13
_cell_angle_gamma 90.00
loop_
_space_group_symop_operation_xyz
'x,y,z'
'x,-y,z'
'x+1/2,y+1/2,z'
'x+1/2,-y+1/2,z'
loop_
_atom_site_label
_atom_site_fract_x
_atom_site_fract_y
_atom_site_fract_z
Ni1 0.0000 0.0000 0.0000
Ge1 0.0556 0.0000 0.6124
Ge2 0.1094 0.5000 0.9133
Ge3 0.1569 0.0000 0.1766
Ge4 0.2633 0.5000 0.4243
Ge5 0.3491 0.0000 0.0149
Ge6 0.3764 0.5000 0.7891
Ge7 0.4435 0.0000 0.3734
Ir1 0.1023 0.0000 0.3925
Ir2 0.2130 0.0000 0.7973
Ir3 0.3261 0.5000 0.2032
Ir4 0.3850 0.0000 0.5944
```